Entry 1:
For FeP4, a DFT-relaxed cell (PBE, the Materials Project) gives the computed powder X-ray diffraction pattern in this record (copper Kα).
Kinematic intensities with the Lorentz-polarization factor, no thermal factor.

Atomic structure:
Cell: 4.620 13.688 7.018 Å, 90.00 101.49 90.00°
Fractional positions:
Fe1 0.000 0.000 0.000
Fe2 0.000 0.500 0.500
Fe3 0.141 0.170 0.381
Fe4 0.141 0.330 0.881
Fe5 0.859 0.670 0.119
Fe6 0.859 0.830 0.619
P1 0.072 0.725 0.865
P2 0.072 0.775 0.365
P3 0.195 0.554 0.251
P4 0.195 0.946 0.751
P5 0.263 0.613 0.695
P6 0.263 0.887 0.195
P7 0.344 0.107 0.147
P8 0.344 0.393 0.647
P9 0.368 0.056 0.570
P10 0.368 0.444 0.070
P11 0.492 0.220 0.968
P12 0.492 0.280 0.468
P13 0.508 0.720 0.532
P14 0.508 0.780 0.032
P15 0.632 0.556 0.930
P16 0.632 0.944 0.430
P17 0.656 0.607 0.353
P18 0.656 0.893 0.853
P19 0.737 0.113 0.805
P20 0.737 0.387 0.305
P21 0.805 0.054 0.249
P22 0.805 0.446 0.749
P23 0.928 0.225 0.635
P24 0.928 0.275 0.135

Most intense lines, 2θ = 10–90°, low angle first:
Position (°2θ)	d_spacing	intensity
18.3	4.851	12.9
24.9	3.570	17.9
32.2	2.783	33.3
32.4	2.765	100.0
35.4	2.533	28.8
51.2	1.785	15.7
52.0	1.757	28.4
52.6	1.739	24.4

Entry 2:
For Eu3Mg5Ge5, a DFT-relaxed cell (PBE, the Materials Project) gives the computed powder X-ray diffraction pattern in this record (copper Kα).
Kinematic intensities with the Lorentz-polarization factor, no thermal factor.

Atomic structure:
Cell: 14.536 4.528 18.433 Å, 90.00 90.00 90.00°
Fractional positions:
Eu1 0.088 0.250 0.154
Eu2 0.136 0.750 0.692
Eu3 0.208 0.750 0.487
Eu4 0.292 0.250 0.987
Eu5 0.364 0.250 0.192
Eu6 0.412 0.750 0.654
Eu7 0.588 0.250 0.346
Eu8 0.636 0.750 0.808
Eu9 0.708 0.750 0.013
Eu10 0.792 0.250 0.513
Eu11 0.864 0.250 0.308
Eu12 0.912 0.750 0.846
Mg1 0.023 0.250 0.438
Mg2 0.037 0.750 0.311
Mg3 0.053 0.250 0.957
Mg4 0.165 0.750 0.871
Mg5 0.234 0.750 0.274
Mg6 0.266 0.250 0.774
Mg7 0.335 0.250 0.371
Mg8 0.447 0.750 0.457
Mg9 0.463 0.250 0.811
Mg10 0.477 0.750 0.938
Mg11 0.523 0.250 0.062
Mg12 0.537 0.750 0.189
Mg13 0.553 0.250 0.543
Mg14 0.665 0.750 0.629
Mg15 0.734 0.750 0.226
Mg16 0.766 0.250 0.726
Mg17 0.835 0.250 0.129
Mg18 0.947 0.750 0.043
Mg19 0.963 0.250 0.689
Mg20 0.977 0.750 0.562
Ge1 0.079 0.250 0.809
Ge2 0.087 0.250 0.575
Ge3 0.132 0.750 0.016
Ge4 0.150 0.250 0.326
Ge5 0.244 0.750 0.121
Ge6 0.256 0.250 0.621
Ge7 0.350 0.750 0.826
Ge8 0.368 0.250 0.516
Ge9 0.413 0.750 0.075
Ge10 0.421 0.750 0.309
Ge11 0.579 0.250 0.691
Ge12 0.587 0.250 0.925
Ge13 0.632 0.750 0.484
Ge14 0.650 0.250 0.174
Ge15 0.744 0.750 0.379
Ge16 0.756 0.250 0.879
Ge17 0.850 0.750 0.674
Ge18 0.868 0.250 0.984
Ge19 0.913 0.750 0.425
Ge20 0.921 0.750 0.191

Most intense lines, 2θ = 10–90°, low angle first:
Position (°2θ)	d_spacing	intensity
11.4	7.784	37.7
30.3	2.951	34.3
30.7	2.913	100.0
31.6	2.834	46.0
31.9	2.803	83.7
39.8	2.264	52.3
46.1	1.969	36.0
62.5	1.486	28.8

Entry 3:
For Li3PS4, a DFT-relaxed cell (PBE, the Materials Project) gives the computed powder X-ray diffraction pattern in this record (copper Kα).
Kinematic intensities with the Lorentz-polarization factor, no thermal factor.

Atomic structure:
Cell: 13.423 7.924 6.222 Å, 90.00 90.00 90.00°
Fractional positions:
Li1 0.070 0.250 0.212
Li2 0.159 0.000 0.799
Li3 0.159 0.500 0.799
Li4 0.341 0.000 0.299
Li5 0.341 0.500 0.299
Li6 0.430 0.750 0.712
Li7 0.570 0.250 0.288
Li8 0.659 0.000 0.701
Li9 0.659 0.500 0.701
Li10 0.841 0.000 0.201
Li11 0.841 0.500 0.201
Li12 0.930 0.750 0.788
P1 0.093 0.750 0.304
P2 0.407 0.250 0.804
P3 0.593 0.750 0.196
P4 0.907 0.250 0.696
S1 0.053 0.250 0.800
S2 0.096 0.750 0.637
S3 0.164 0.536 0.197
S4 0.164 0.964 0.197
S5 0.336 0.036 0.697
S6 0.336 0.464 0.697
S7 0.404 0.250 0.137
S8 0.447 0.750 0.300
S9 0.553 0.250 0.700
S10 0.596 0.750 0.863
S11 0.664 0.536 0.303
S12 0.664 0.964 0.303
S13 0.836 0.036 0.803
S14 0.836 0.464 0.803
S15 0.904 0.250 0.363
S16 0.947 0.750 0.200

Most intense lines, 2θ = 10–90°, low angle first:
Position (°2θ)	d_spacing	intensity
17.3	5.122	92.1
18.1	4.894	71.0
26.1	3.412	100.0
26.6	3.356	42.4
27.0	3.302	40.6
28.7	3.111	75.2
29.9	2.992	52.0
46.6	1.948	49.0

Entry 4:
For Pu2O3, a DFT-relaxed cell (PBE, the Materials Project) gives the computed powder X-ray diffraction pattern in this record (copper Kα).
Kinematic intensities with the Lorentz-polarization factor, no thermal factor.

Atomic structure:
Cell: 3.761 3.761 5.973 Å, 90.00 90.00 120.00°
Fractional positions:
Pu1 0.333 0.667 0.244
Pu2 0.667 0.333 0.756
O1 0.000 0.000 0.000
O2 0.333 0.667 0.642
O3 0.667 0.333 0.358

Most intense lines, 2θ = 10–90°, low angle first:
Position (°2θ)	d_spacing	intensity
27.4	3.257	26.2
29.9	2.986	26.6
31.3	2.860	100.0
41.0	2.201	22.5
48.4	1.881	27.6
54.0	1.699	26.4
58.0	1.591	26.2
58.8	1.571	18.0

Entry 5:
For BaTiP2O8, a DFT-relaxed cell (PBE, the Materials Project) gives the computed powder X-ray diffraction pattern in this record (copper Kα).
Kinematic intensities with the Lorentz-polarization factor, no thermal factor.

Atomic structure:
Cell: 4.916 4.916 7.841 Å, 93.49 93.49 64.64°
Fractional positions:
Ba1 0.000 0.000 0.000
Ti1 0.000 0.000 0.500
P1 0.367 0.367 0.706
P2 0.633 0.633 0.294
O1 0.226 0.226 0.565
O2 0.232 0.713 0.680
O3 0.287 0.768 0.320
O4 0.314 0.314 0.888
O5 0.686 0.686 0.112
O6 0.713 0.232 0.680
O7 0.768 0.287 0.320
O8 0.774 0.774 0.435

Most intense lines, 2θ = 10–90°, low angle first:
Position (°2θ)	d_spacing	intensity
20.0	4.439	72.3
21.4	4.143	66.9
23.4	3.798	87.3
23.6	3.775	43.7
29.9	2.992	100.0
31.1	2.880	63.8
34.1	2.628	36.0
36.8	2.445	58.6

Entry 6:
For Te6MoW3Se2, a DFT-relaxed cell (PBE, the Materials Project) gives the computed powder X-ray diffraction pattern in this record (copper Kα).
Kinematic intensities with the Lorentz-polarization factor, no thermal factor.

Atomic structure:
Cell: 3.498 3.498 39.678 Å, 90.00 90.00 120.00°
Fractional positions:
Te1 0.000 0.000 0.000
Te2 0.000 0.000 0.092
Te3 0.000 0.000 0.375
Te4 0.000 0.000 0.468
Te5 0.333 0.667 0.188
Te6 0.333 0.667 0.280
Mo1 0.333 0.667 0.046
W1 0.000 0.000 0.234
W2 0.000 0.000 0.858
W3 0.333 0.667 0.422
Se1 0.333 0.667 0.817
Se2 0.333 0.667 0.899

Most intense lines, 2θ = 10–90°, low angle first:
Position (°2θ)	d_spacing	intensity
11.1	7.936	100.0
29.5	3.028	49.0
34.7	2.585	96.2
42.0	2.150	61.0
43.7	2.070	18.7
52.3	1.749	37.5
64.3	1.449	16.0
73.8	1.284	18.1

Entry 7:
For Sm3CrSe6, a DFT-relaxed cell (PBE, the Materials Project) gives the computed powder X-ray diffraction pattern in this record (copper Kα).
Kinematic intensities with the Lorentz-polarization factor, no thermal factor.

Atomic structure:
Cell: 14.186 16.925 4.017 Å, 90.00 90.00 90.00°
Fractional positions:
Sm1 0.054 0.221 0.000
Sm2 0.179 0.648 0.000
Sm3 0.240 0.905 0.500
Sm4 0.260 0.405 0.000
Sm5 0.321 0.148 0.500
Sm6 0.446 0.721 0.500
Sm7 0.554 0.279 0.500
Sm8 0.679 0.852 0.500
Sm9 0.740 0.595 0.000
Sm10 0.760 0.095 0.500
Sm11 0.821 0.352 0.000
Sm12 0.946 0.779 0.000
Cr1 0.000 0.000 0.500
Cr2 0.000 0.500 0.500
Cr3 0.500 0.000 0.000
Cr4 0.500 0.500 0.000
Se1 0.024 0.404 0.000
Se2 0.078 0.924 0.000
Se3 0.101 0.756 0.500
Se4 0.122 0.106 0.500
Se5 0.179 0.520 0.500
Se6 0.191 0.290 0.500
Se7 0.309 0.790 0.000
Se8 0.321 0.020 0.000
Se9 0.378 0.606 0.000
Se10 0.399 0.256 0.000
Se11 0.422 0.424 0.500
Se12 0.476 0.904 0.500
Se13 0.524 0.096 0.500
Se14 0.578 0.576 0.500
Se15 0.601 0.744 0.000
Se16 0.622 0.394 0.000
Se17 0.679 0.980 0.000
Se18 0.691 0.210 0.000
Se19 0.809 0.710 0.500
Se20 0.821 0.480 0.500
Se21 0.878 0.894 0.500
Se22 0.899 0.244 0.500
Se23 0.922 0.076 0.000
Se24 0.976 0.596 0.000

Most intense lines, 2θ = 10–90°, low angle first:
Position (°2θ)	d_spacing	intensity
24.5	3.632	16.4
32.5	2.752	16.4
33.3	2.692	100.0
34.7	2.588	31.8
35.4	2.536	17.2
39.2	2.296	22.8
43.6	2.074	17.1
45.1	2.009	30.2

Entry 8:
For Li3Eu2B3O9, a DFT-relaxed cell (PBE, the Materials Project) gives the computed powder X-ray diffraction pattern in this record (copper Kα).
Kinematic intensities with the Lorentz-polarization factor, no thermal factor.

Atomic structure:
Cell: 6.539 10.409 7.575 Å, 90.00 110.14 90.00°
Fractional positions:
Li1 0.149 0.000 0.229
Li2 0.324 0.011 0.939
Li3 0.326 0.620 0.719
Li4 0.674 0.120 0.281
Li5 0.676 0.511 0.061
Li6 0.851 0.500 0.771
Eu1 0.109 0.318 0.511
Eu2 0.275 0.657 0.250
Eu3 0.725 0.157 0.750
Eu4 0.891 0.818 0.489
B1 0.042 0.863 0.899
B2 0.255 0.216 0.111
B3 0.274 0.425 0.935
B4 0.726 0.925 0.065
B5 0.745 0.716 0.889
B6 0.958 0.363 0.101
O1 0.010 0.966 0.781
O2 0.088 0.251 0.180
O3 0.155 0.470 0.758
O4 0.178 0.714 0.494
O5 0.192 0.855 0.075
O6 0.277 0.289 0.964
O7 0.364 0.107 0.171
O8 0.390 0.196 0.591
O9 0.391 0.501 0.079
O10 0.609 0.001 0.921
O11 0.610 0.696 0.409
O12 0.636 0.607 0.829
O13 0.723 0.789 0.036
O14 0.808 0.355 0.925
O15 0.822 0.214 0.506
O16 0.845 0.970 0.242
O17 0.912 0.751 0.820
O18 0.990 0.466 0.219

Most intense lines, 2θ = 10–90°, low angle first:
Position (°2θ)	d_spacing	intensity
15.1	5.872	89.1
16.8	5.288	68.4
22.1	4.014	73.9
22.4	3.970	60.3
23.1	3.850	100.0
25.7	3.465	56.8
28.7	3.107	78.0
30.4	2.938	95.4